1.
Rb3PdS3: simulated PXRD pattern (CuKα), based on a crystal structure in Alexandria, relaxed with PBE.
Peak positions follow from Bragg's law for the DFT cell and can differ from measured ones.

Structural model:
Unit cell a=6.760 b=6.760 c=6.760 alpha=109.87 beta=109.87 gamma=109.87
Fractional positions:
Rb  0.193  0.193  0.614
Rb  0.193  0.614  0.193
Rb  0.614  0.193  0.193
Pd  0.827  0.827  0.827
S  0.070  0.717  0.717
S  0.717  0.070  0.717
S  0.717  0.717  0.070

Principal peaks in the range 2θ from 5° to 70°, sorted by position:
2θ = 22.9°, d = 3.883 Å, intensity 100.0
2θ = 27.9°, d = 3.195 Å, intensity 64.5
2θ = 28.5°, d = 3.131 Å, intensity 67.6
2θ = 32.4°, d = 2.767 Å, intensity 65.8
2θ = 32.9°, d = 2.725 Å, intensity 51.1
2θ = 49.8°, d = 1.832 Å, intensity 58.9

2.
Rb2SbPdS4: simulated PXRD pattern (CuKα), based on a crystal structure in Alexandria, relaxed with PBE.
Peak positions follow from Bragg's law for the DFT cell and can differ from measured ones.

Structural model:
Unit cell a=12.977 b=11.303 c=7.970 alpha=82.71 beta=59.76 gamma=37.53
Fractional positions:
Rb  0.048  0.048  0.702
Rb  0.298  0.298  0.952
Rb  0.702  0.702  0.048
Rb  0.952  0.952  0.298
Sb  0.375  0.375  0.375
Sb  0.625  0.625  0.625
Pd  0.125  0.125  0.125
Pd  0.875  0.875  0.875
S  0.012  0.328  0.439
S  0.280  0.561  0.672
S  0.328  0.012  0.720
S  0.439  0.720  0.012
S  0.561  0.280  0.988
S  0.672  0.988  0.280
S  0.720  0.439  0.328
S  0.988  0.672  0.561

Principal peaks in the range 2θ from 5° to 70°, sorted by position:
2θ = 14.8°, d = 5.998 Å, intensity 83.4
2θ = 16.4°, d = 5.393 Å, intensity 58.9
2θ = 25.9°, d = 3.442 Å, intensity 61.3
2θ = 27.7°, d = 3.218 Å, intensity 100.0
2θ = 29.2°, d = 3.062 Å, intensity 74.4
2θ = 36.5°, d = 2.463 Å, intensity 53.8

3.
Rb2SnPdS4: simulated PXRD pattern (CuKα), based on a crystal structure in Alexandria, relaxed with PBE.
Peak positions follow from Bragg's law for the DFT cell and can differ from measured ones.

Structural model:
Unit cell a=13.007 b=10.903 c=8.620 alpha=82.66 beta=56.24 gamma=41.10
Fractional positions:
Rb  0.039  0.039  0.711
Rb  0.289  0.289  0.961
Rb  0.711  0.711  0.039
Rb  0.961  0.961  0.289
Sn  0.375  0.375  0.375
Sn  0.625  0.625  0.625
Pd  0.125  0.125  0.125
Pd  0.875  0.875  0.875
S  0.012  0.293  0.438
S  0.243  0.562  0.707
S  0.293  0.012  0.757
S  0.438  0.757  0.012
S  0.562  0.243  0.988
S  0.707  0.988  0.243
S  0.757  0.438  0.293
S  0.988  0.707  0.562

Principal peaks in the range 2θ from 5° to 70°, sorted by position:
2θ = 14.1°, d = 6.274 Å, intensity 100.0
2θ = 17.2°, d = 5.169 Å, intensity 54.4
2θ = 28.1°, d = 3.172 Å, intensity 70.8
2θ = 28.3°, d = 3.158 Å, intensity 96.7
2θ = 43.2°, d = 2.094 Å, intensity 63.6
2θ = 43.6°, d = 2.077 Å, intensity 67.7

4.
RbU2Pd2S6: simulated PXRD pattern (CuKα), based on a crystal structure in Alexandria, relaxed with PBE.
Peak positions follow from Bragg's law for the DFT cell and can differ from measured ones.

Structural model:
Unit cell a=7.036 b=7.068 c=7.300 alpha=61.71 beta=67.58 gamma=61.88
Fractional positions:
Rb  0.000  0.000  0.000
U  0.003  0.664  0.670
U  0.997  0.336  0.330
Pd  0.448  0.716  0.323
Pd  0.552  0.284  0.677
S  0.233  0.519  0.353
S  0.235  0.921  0.556
S  0.243  0.319  0.955
S  0.757  0.681  0.045
S  0.765  0.079  0.444
S  0.767  0.481  0.647

Principal peaks in the range 2θ from 5° to 70°, sorted by position:
2θ = 14.1°, d = 6.294 Å, intensity 52.0
2θ = 14.6°, d = 6.076 Å, intensity 78.3
2θ = 15.7°, d = 5.648 Å, intensity 89.6
2θ = 25.2°, d = 3.532 Å, intensity 54.9
2θ = 29.8°, d = 2.999 Å, intensity 100.0
2θ = 35.9°, d = 2.502 Å, intensity 57.8

5.
Rb2UPdS4: simulated PXRD pattern (CuKα), based on a crystal structure in Alexandria, relaxed with PBE.
Peak positions follow from Bragg's law for the DFT cell and can differ from measured ones.

Structural model:
Unit cell a=7.590 b=7.590 c=8.304 alpha=90.00 beta=90.00 gamma=90.00
Fractional positions:
Rb  0.000  0.000  0.000
Rb  0.000  0.500  0.250
Rb  0.500  0.000  0.750
Rb  0.500  0.500  0.500
U  0.000  0.000  0.500
U  0.500  0.500  0.000
Pd  0.000  0.500  0.750
Pd  0.500  0.000  0.250
S  0.150  0.765  0.672
S  0.235  0.150  0.328
S  0.265  0.350  0.828
S  0.350  0.735  0.172
S  0.650  0.265  0.172
S  0.735  0.650  0.828
S  0.765  0.850  0.328
S  0.850  0.235  0.672

Principal peaks in the range 2θ from 5° to 70°, sorted by position:
2θ = 15.8°, d = 5.602 Å, intensity 38.4
2θ = 23.4°, d = 3.795 Å, intensity 47.6
2θ = 27.2°, d = 3.284 Å, intensity 100.0
2θ = 33.4°, d = 2.683 Å, intensity 33.5
2θ = 43.6°, d = 2.078 Å, intensity 63.0
2θ = 56.0°, d = 1.642 Å, intensity 24.7

6.
RbU2Pd2S4: simulated PXRD pattern (CuKα), based on a crystal structure in Alexandria, relaxed with PBE.
Peak positions follow from Bragg's law for the DFT cell and can differ from measured ones.

Structural model:
Unit cell a=7.498 b=7.498 c=9.260 alpha=116.76 beta=116.76 gamma=28.50
Fractional positions:
Rb  0.000  0.000  0.000
U  0.095  0.095  0.567
U  0.905  0.905  0.433
Pd  0.319  0.319  0.612
Pd  0.681  0.681  0.388
S  0.251  0.251  0.272
S  0.495  0.495  0.306
S  0.505  0.505  0.694
S  0.749  0.749  0.728

Principal peaks in the range 2θ from 5° to 70°, sorted by position:
2θ = 10.8°, d = 8.200 Å, intensity 100.0
2θ = 19.5°, d = 4.545 Å, intensity 11.2
2θ = 26.1°, d = 3.420 Å, intensity 12.0
2θ = 31.1°, d = 2.872 Å, intensity 34.0
2θ = 38.9°, d = 2.314 Å, intensity 12.4
2θ = 39.8°, d = 2.263 Å, intensity 21.6

7.
RbSb3Pd5: simulated PXRD pattern (CuKα), based on a crystal structure in Alexandria, relaxed with PBE.
Peak positions follow from Bragg's law for the DFT cell and can differ from measured ones.

Structural model:
Unit cell a=7.340 b=7.340 c=13.608 alpha=90.00 beta=90.00 gamma=146.77
Fractional positions:
Rb  0.165  0.835  0.750
Rb  0.835  0.165  0.250
Sb  0.112  0.888  0.250
Sb  0.379  0.621  0.040
Sb  0.379  0.621  0.460
Sb  0.621  0.379  0.540
Sb  0.621  0.379  0.960
Sb  0.888  0.112  0.750
Pd  0.000  0.000  0.000
Pd  0.000  0.000  0.500
Pd  0.193  0.807  0.065
Pd  0.193  0.807  0.435
Pd  0.451  0.549  0.644
Pd  0.451  0.549  0.856
Pd  0.549  0.451  0.144
Pd  0.549  0.451  0.356
Pd  0.807  0.193  0.565
Pd  0.807  0.193  0.935

Principal peaks in the range 2θ from 5° to 70°, sorted by position:
2θ = 13.0°, d = 6.804 Å, intensity 76.7
2θ = 29.7°, d = 3.010 Å, intensity 74.4
2θ = 31.5°, d = 2.842 Å, intensity 73.4
2θ = 40.0°, d = 2.254 Å, intensity 71.6
2θ = 40.8°, d = 2.210 Å, intensity 100.0
2θ = 43.1°, d = 2.099 Å, intensity 85.6

8.
RbSb4Pd9: simulated PXRD pattern (CuKα), based on a crystal structure in Alexandria, relaxed with PBE.
Peak positions follow from Bragg's law for the DFT cell and can differ from measured ones.

Structural model:
Unit cell a=9.319 b=9.319 c=9.319 alpha=122.21 beta=122.21 gamma=86.22
Fractional positions:
Rb  0.250  0.250  0.000
Rb  0.750  0.750  0.000
Sb  0.051  0.551  0.843
Sb  0.208  0.051  0.500
Sb  0.292  0.792  0.843
Sb  0.449  0.292  0.500
Sb  0.551  0.708  0.500
Sb  0.708  0.208  0.157
Sb  0.792  0.949  0.500
Sb  0.949  0.449  0.157
Pd  0.000  0.500  0.500
Pd  0.058  0.813  0.500
Pd  0.073  0.203  0.276
Pd  0.187  0.687  0.246
Pd  0.203  0.927  0.131
Pd  0.297  0.427  0.724
Pd  0.313  0.558  0.500
Pd  0.427  0.703  0.131
Pd  0.442  0.942  0.754
Pd  0.500  0.000  0.500
Pd  0.558  0.058  0.246
Pd  0.573  0.297  0.869
Pd  0.687  0.442  0.500
Pd  0.703  0.573  0.276
Pd  0.797  0.073  0.869
Pd  0.813  0.313  0.754
Pd  0.927  0.797  0.724
Pd  0.942  0.187  0.500

Principal peaks in the range 2θ from 5° to 70°, sorted by position:
2θ = 13.9°, d = 6.369 Å, intensity 37.3
2θ = 33.0°, d = 2.714 Å, intensity 29.6
2θ = 34.1°, d = 2.627 Å, intensity 70.9
2θ = 40.0°, d = 2.255 Å, intensity 100.0
2θ = 41.3°, d = 2.187 Å, intensity 80.7
2θ = 41.9°, d = 2.157 Å, intensity 57.3

9.
RbSb3Pd3: simulated PXRD pattern (CuKα), based on a crystal structure in Alexandria, relaxed with PBE.
Peak positions follow from Bragg's law for the DFT cell and can differ from measured ones.

Structural model:
Unit cell a=9.704 b=9.704 c=9.704 alpha=45.73 beta=45.73 gamma=45.73
Fractional positions:
Rb  0.160  0.160  0.160
Rb  0.840  0.840  0.840
Sb  0.070  0.434  0.681
Sb  0.319  0.930  0.566
Sb  0.434  0.681  0.070
Sb  0.566  0.319  0.930
Sb  0.681  0.070  0.434
Sb  0.930  0.566  0.319
Pd  0.033  0.749  0.331
Pd  0.251  0.669  0.967
Pd  0.331  0.033  0.749
Pd  0.669  0.967  0.251
Pd  0.749  0.331  0.033
Pd  0.967  0.251  0.669

Principal peaks in the range 2θ from 5° to 70°, sorted by position:
2θ = 10.2°, d = 8.673 Å, intensity 100.0
2θ = 23.6°, d = 3.771 Å, intensity 26.1
2θ = 25.8°, d = 3.458 Å, intensity 62.0
2θ = 30.9°, d = 2.891 Å, intensity 28.4
2θ = 39.3°, d = 2.294 Å, intensity 32.7
2θ = 41.5°, d = 2.177 Å, intensity 42.5

10.
Rb3SbPd: simulated PXRD pattern (CuKα), based on a crystal structure in Alexandria, relaxed with PBE.
Peak positions follow from Bragg's law for the DFT cell and can differ from measured ones.

Structural model:
Unit cell a=8.951 b=8.951 c=8.951 alpha=90.00 beta=90.00 gamma=90.00
Fractional positions:
Rb  0.059  0.113  0.794
Rb  0.113  0.794  0.059
Rb  0.206  0.559  0.387
Rb  0.294  0.441  0.887
Rb  0.387  0.206  0.559
Rb  0.441  0.887  0.294
Rb  0.559  0.387  0.206
Rb  0.613  0.706  0.941
Rb  0.706  0.941  0.613
Rb  0.794  0.059  0.113
Rb  0.887  0.294  0.441
Rb  0.941  0.613  0.706
Sb  0.182  0.182  0.182
Sb  0.318  0.818  0.682
Sb  0.682  0.318  0.818
Sb  0.818  0.682  0.318
Pd  0.080  0.920  0.420
Pd  0.420  0.080  0.920
Pd  0.580  0.580  0.580
Pd  0.920  0.420  0.080

Principal peaks in the range 2θ from 5° to 70°, sorted by position:
2θ = 29.9°, d = 2.984 Å, intensity 100.0
2θ = 31.6°, d = 2.831 Å, intensity 66.3
2θ = 33.2°, d = 2.699 Å, intensity 25.3
2θ = 37.6°, d = 2.392 Å, intensity 17.0
2θ = 52.1°, d = 1.755 Å, intensity 31.6
2θ = 55.3°, d = 1.662 Å, intensity 27.8

11.
Rb2Sb3Pd5: simulated PXRD pattern (CuKα), based on a crystal structure in Alexandria, relaxed with PBE.
Peak positions follow from Bragg's law for the DFT cell and can differ from measured ones.

Structural model:
Unit cell a=9.713 b=9.713 c=6.041 alpha=95.10 beta=95.10 gamma=113.89
Fractional positions:
Rb  0.130  0.669  0.954
Rb  0.331  0.870  0.546
Rb  0.669  0.130  0.454
Rb  0.870  0.331  0.046
Sb  0.076  0.257  0.518
Sb  0.257  0.076  0.018
Sb  0.454  0.546  0.750
Sb  0.546  0.454  0.250
Sb  0.743  0.924  0.982
Sb  0.924  0.743  0.482
Pd  0.007  0.993  0.250
Pd  0.222  0.327  0.932
Pd  0.289  0.494  0.352
Pd  0.327  0.222  0.432
Pd  0.494  0.289  0.852
Pd  0.506  0.711  0.148
Pd  0.673  0.778  0.568
Pd  0.711  0.506  0.648
Pd  0.778  0.673  0.068
Pd  0.993  0.007  0.750

Principal peaks in the range 2θ from 5° to 70°, sorted by position:
2θ = 10.9°, d = 8.141 Å, intensity 100.0
2θ = 24.6°, d = 3.616 Å, intensity 19.4
2θ = 32.1°, d = 2.787 Å, intensity 34.7
2θ = 33.0°, d = 2.713 Å, intensity 32.3
2θ = 36.9°, d = 2.435 Å, intensity 26.8
2θ = 37.1°, d = 2.424 Å, intensity 25.9

12.
Rb2Pd3Se4: simulated PXRD pattern (CuKα), based on a crystal structure in Alexandria, relaxed with PBE.
Peak positions follow from Bragg's law for the DFT cell and can differ from measured ones.

Structural model:
Unit cell a=15.068 b=14.332 c=6.528 alpha=83.56 beta=70.94 gamma=25.50
Fractional positions:
Rb  0.051  0.051  0.199
Rb  0.199  0.199  0.051
Rb  0.801  0.801  0.949
Rb  0.949  0.949  0.801
Pd  0.126  0.126  0.624
Pd  0.375  0.375  0.375
Pd  0.376  0.376  0.874
Pd  0.624  0.624  0.126
Pd  0.625  0.625  0.625
Pd  0.874  0.874  0.376
Se  0.154  0.479  0.264
Se  0.264  0.603  0.154
Se  0.397  0.736  0.521
Se  0.479  0.154  0.603
Se  0.521  0.846  0.397
Se  0.603  0.264  0.479
Se  0.736  0.397  0.846
Se  0.846  0.521  0.736

Principal peaks in the range 2θ from 5° to 70°, sorted by position:
2θ = 12.7°, d = 6.981 Å, intensity 100.0
2θ = 27.5°, d = 3.242 Å, intensity 40.4
2θ = 31.8°, d = 2.815 Å, intensity 50.9
2θ = 33.7°, d = 2.659 Å, intensity 42.5
2θ = 35.5°, d = 2.526 Å, intensity 51.1
2θ = 40.1°, d = 2.249 Å, intensity 32.4